Diffraction record for Hf4ZnRu5. The XRD peak list is simulated, not measured: it uses a cell relaxed with PBE and Cu Kα.
No peak broadening, texture or thermal motion is included.

Structural model:
Unit cell a=3.230 b=3.230 c=15.758 alpha=90.00 beta=90.00 gamma=90.00
Sites, in units of the cell vectors:
Hf 0.000 0.000 0.104
Hf 0.000 0.000 0.313
Hf 0.000 0.000 0.687
Hf 0.000 0.000 0.896
Zn 0.000 0.000 0.500
Ru 0.500 0.500 0.000
Ru 0.500 0.500 0.205
Ru 0.500 0.500 0.409
Ru 0.500 0.500 0.591
Ru 0.500 0.500 0.795

Principal peaks in the range 10 to 90 degrees two-theta, by intensity:
Position (°2θ)	d_spacing	I (rel.)
40.0	2.256	100
39.5	2.284	55
71.9	1.313	35
57.0	1.615	19
72.9	1.297	14
86.2	1.128	9
36.0	2.498	7
58.6	1.576	7

---

Diffraction record for Hf2Zr2Ru. The XRD peak list is simulated, not measured: it uses a cell relaxed with PBE and Cu Kα.
No peak broadening, texture or thermal motion is included.

Structural model:
Unit cell a=11.088 b=11.088 c=11.088 alpha=156.31 beta=156.31 gamma=33.75
Sites, in units of the cell vectors:
Hf 0.051 0.301 0.750
Hf 0.301 0.051 0.250
Hf 0.699 0.949 0.750
Hf 0.949 0.699 0.250
Zr 0.201 0.451 0.750
Zr 0.451 0.201 0.250
Zr 0.549 0.799 0.750
Zr 0.799 0.549 0.250
Ru 0.375 0.625 0.750
Ru 0.625 0.375 0.250

Principal peaks in the range 10 to 90 degrees two-theta, by intensity:
Position (°2θ)	d_spacing	I (rel.)
37.8	2.380	100
39.6	2.276	48
23.2	3.827	32
70.7	1.333	31
29.0	3.080	24
57.3	1.609	16
67.0	1.396	14
53.0	1.727	11

---

Diffraction record for Hf3S. The XRD peak list is simulated, not measured: it uses a cell relaxed with PBE and Cu Kα.
No peak broadening, texture or thermal motion is included.

Structural model:
Unit cell a=8.056 b=8.056 c=8.056 alpha=96.00 beta=96.00 gamma=142.26
Sites, in units of the cell vectors:
Hf 0.063 0.371 0.483
Hf 0.094 0.212 0.843
Hf 0.230 0.696 0.896
Hf 0.304 0.200 0.533
Hf 0.369 0.251 0.157
Hf 0.420 0.937 0.308
Hf 0.629 0.112 0.692
Hf 0.667 0.770 0.467
Hf 0.749 0.906 0.118
Hf 0.788 0.631 0.882
Hf 0.800 0.333 0.104
Hf 0.888 0.580 0.517
S 0.239 0.486 0.175
S 0.311 0.064 0.825
S 0.514 0.689 0.754
S 0.936 0.761 0.246

Principal peaks in the range 10 to 90 degrees two-theta, by intensity:
Position (°2θ)	d_spacing	I (rel.)
38.5	2.337	100
34.6	2.594	98
36.4	2.466	50
35.3	2.541	31
30.2	2.958	30
37.3	2.411	29
60.7	1.525	19
42.0	2.151	19